Starting from a structure optimized by DFT (GGA-PBE), the X-ray diffraction stick pattern of Be3Os5 was computed for λ = 1.5418 Å (Cu Kα).
Peak positions follow from Bragg's law for the DFT cell and can differ from measured ones.

Principal peaks in the range 10° ≤ 2θ ≤ 80°, low angle first:
| 2θ (°) | I (rel.) | h k l |
| --- | --- | --- |
| 29.07 | 100 | 1 1 1 |
| 31.46 | 86 | 0 2 2 |
| 37.81 | 40 | 2 0 -1 |
| 40.11 | 32 | 0 4 2 |
| 40.48 | 35 | 2 0 -2 |
| 40.82 | 83 | 1 5 0 |
| 43.01 | 35 | 2 2 -2 |
| 45.09 | 63 | 0 2 3 |
| 45.74 | 100 | 1 3 2 |
| 47.71 | 77 | 2 0 1 |

Crystal structure
abc: 4.759 12.729 6.777
angles: 90.00 110.36 90.00
Space group C2/m (No. 12)
Symmetry-distinct sites (fractional):
Be  0.000  0.174  0.000 [4 per cell]
Be  0.000  0.251  0.500 [4 per cell]
Be  0.178  0.500  0.347 [4 per cell]
Os  0.104  0.325  0.206 [8 per cell]
Os  0.169  0.102  0.348 [8 per cell]
Os  0.247  0.500  0.994 [4 per cell]